# TbAuSe2
Calculated XRD peak list, CuKα. Input: a DFT-relaxed cell (GGA-PBE, Alexandria).
Neutral-atom scattering factors, no anomalous dispersion.

Structural model:
```
TbAuSe2
1.0
4.3197 0.0000 0.0000
-2.1598 3.7409 0.0000
0.0000 0.0000 23.3740
Tb Au Se
3 3 6
Direct
0.0000 0.6709 0.3333
0.3291 0.3291 0.0000
0.6709 0.0000 0.6667
0.0000 0.6646 0.8333
0.3354 0.3354 0.5000
0.6646 0.0000 0.1667
0.0042 0.6667 0.7294
0.3333 0.3375 0.3961
0.3375 0.3333 0.6039
0.6625 0.9958 0.0627
0.6667 0.0042 0.2706
0.9958 0.6625 0.9373
```

Top 10 peaks for 2θ = 15–90°, by angle:
2θ/deg  I_rel
22.8  15
24.1  19
25.0  100
28.3  22
39.1  37
41.8  43
45.8  33
49.3  18
66.6  14
79.2  13

***

# La2Dy5Th4
Calculated XRD peak list, CuKα. Input: a DFT-relaxed cell (GGA-PBE, Alexandria).
Neutral-atom scattering factors, no anomalous dispersion.

Structural model:
```
La2Dy5Th4
1.0
3.6019 0.0000 0.0000
-0.0008 8.7574 0.0000
-1.7980 -3.0796 11.4056
La Dy Th
2 5 4
Direct
0.2298 0.3196 0.4586
0.7702 0.6804 0.5414
0.3228 0.0601 0.6446
0.4133 0.7790 0.8262
0.5000 0.5000 0.0000
0.5867 0.2210 0.1738
0.6772 0.9399 0.3554
0.0448 0.8632 0.0907
0.1329 0.5884 0.2678
0.8671 0.4116 0.7322
0.9552 0.1368 0.9093
```

Top 10 peaks for 2θ = 15–90°, by angle:
2θ/deg  I_rel
30.4  51
30.5  100
30.6  49
35.2  69
35.6  32
50.7  25
50.8  24
51.2  24
60.1  15
60.2  15

***

# CdPPbCl2
Calculated XRD peak list, CuKα. Input: a DFT-relaxed cell (GGA-PBE, Alexandria).
Neutral-atom scattering factors, no anomalous dispersion.

Structural model:
```
CdPPbCl2
1.0
5.0708 0.0000 0.0000
0.0000 5.0708 0.0000
0.0000 0.0000 5.3075
Cd P Pb Cl
1 1 1 2
Direct
0.0000 0.0000 0.0000
0.0000 0.0000 0.5000
0.5000 0.5000 0.5000
0.0000 0.5000 0.0000
0.5000 0.0000 0.0000
```

Top 10 peaks for 2θ = 15–90°, by angle:
2θ/deg  I_rel
24.3  100
24.8  44
30.1  27
33.8  24
35.4  41
42.4  22
43.4  45
49.7  31
50.9  14
62.5  15

***

# NaIn3Hg4
Calculated XRD peak list, CuKα. Input: a DFT-relaxed cell (GGA-PBE, Alexandria).
Neutral-atom scattering factors, no anomalous dispersion.

Structural model:
```
NaIn3Hg4
1.0
4.4824 -2.5700 0.0000
4.4824 2.5700 0.0000
-3.0733 0.0000 8.9559
Na In Hg
1 3 4
Direct
0.0000 0.0000 0.0000
0.2537 0.2537 0.7595
0.5000 0.5000 0.5000
0.7463 0.7463 0.2405
0.1231 0.1231 0.3710
0.3735 0.3735 0.1197
0.6265 0.6265 0.8803
0.8769 0.8769 0.6290
```

Top 10 peaks for 2θ = 15–90°, by angle:
2θ/deg  I_rel
24.0  29
33.3  100
33.5  49
34.7  90
34.9  45
48.6  19
49.2  34
58.9  19
61.3  18
61.6  34

***

# Er12Re5C15
Calculated XRD peak list, CuKα. Input: a DFT-relaxed cell (GGA-PBE, Alexandria).
Neutral-atom scattering factors, no anomalous dispersion.

Structural model:
```
Er12Re5C15
1.0
10.6722 0.0000 0.0000
-5.3361 9.2424 0.0000
0.0000 0.0000 5.0382
Er Re C
12 5 15
Direct
0.0000 0.2059 0.0000
0.0000 0.5713 0.0000
0.1857 0.4557 0.5000
0.2059 0.0000 0.0000
0.2701 0.8143 0.5000
0.4287 0.4287 0.0000
0.4557 0.1857 0.5000
0.5443 0.7299 0.5000
0.5713 0.0000 0.0000
0.7299 0.5443 0.5000
0.7941 0.7941 0.0000
0.8143 0.2701 0.5000
0.0000 0.8468 0.5000
0.1532 0.1532 0.5000
0.3333 0.6667 0.0000
0.6667 0.3333 0.0000
0.8468 0.0000 0.5000
0.0000 0.2162 0.5000
0.0000 0.5382 0.5000
0.0000 0.6653 0.5000
0.1879 0.4668 0.0000
0.2162 0.0000 0.5000
0.2789 0.8121 0.0000
0.3347 0.3347 0.5000
0.4618 0.4618 0.5000
0.4668 0.1879 0.0000
0.5332 0.7211 0.0000
0.5382 0.0000 0.5000
0.6653 0.0000 0.5000
0.7211 0.5332 0.0000
0.7838 0.7838 0.5000
0.8121 0.2789 0.0000
```

Top 10 peaks for 2θ = 15–90°, by angle:
2θ/deg  I_rel
31.2  100
34.1  21
35.0  40
35.6  36
38.2  15
39.4  8
50.8  27
61.2  15
64.0  11
69.2  8